The following is a computed powder diffractogram of SrLaNiO4. It was derived from a GGA+U-relaxed structure, using Cu Kα X-rays.

Most intense lines, 2θ from 10° to 80°, low angle first:
2theta	intensity
24.15	14
31.53	100
32.86	74
42.92	21
43.96	28
47.16	38
57.77	18
57.89	18
68.97	13
78.52	14

```
SrLaNiO4
1.0
2.722 -6.290 0.000
2.722 6.290 0.000
0.000 0.000 5.458
Sr La Ni O
2 2 2 8
direct
0.107 0.893 0.750
0.893 0.107 0.250
0.387 0.613 0.750
0.613 0.387 0.250
0.249 0.751 0.250
0.751 0.249 0.750
0.000 0.500 0.000
0.000 0.500 0.500
0.088 0.912 0.250
0.424 0.576 0.250
0.500 0.000 0.000
0.500 0.000 0.500
0.576 0.424 0.750
0.912 0.088 0.750
```

=====

The following is a computed powder diffractogram of Cr2CuO4. It was derived from a GGA+U-relaxed structure, using Cu Kα X-rays.

Most intense lines, 2θ from 10° to 80°, low angle first:
2theta	intensity
29.44	21
30.20	38
34.83	100
36.13	54
42.12	14
52.70	14
55.77	35
58.46	13
61.09	23
62.79	42

```
Cr2CuO4
1.0
-3.034 3.034 4.088
3.034 -3.034 4.088
3.034 3.034 -4.088
Cr Cu O
4 2 8
direct
0.000 0.000 0.000
0.000 0.000 0.500
0.000 0.500 0.000
0.500 0.000 0.500
0.375 0.625 0.750
0.625 0.375 0.250
0.215 0.245 0.969
0.224 0.755 0.469
0.245 0.215 0.469
0.245 0.776 0.031
0.755 0.224 0.969
0.755 0.785 0.531
0.776 0.245 0.531
0.785 0.755 0.031
```

=====

The following is a computed powder diffractogram of Li2VCrP4O14. It was derived from a GGA+U-relaxed structure, using Cu Kα X-rays.

Most intense lines, 2θ from 10° to 80°, low angle first:
2theta	intensity
17.14	100
22.11	21
22.40	47
25.46	18
26.84	24
28.97	31
29.32	58
29.66	28
34.68	17
43.24	14

```
Li2VCrP4O14
1.0
7.148 0.000 0.000
0.000 8.225 0.000
-3.549 0.000 9.064
Li V Cr P O
4 2 2 8 28
direct
0.176 0.000 0.499
0.177 0.000 0.000
0.823 0.500 0.000
0.824 0.500 0.501
0.229 0.363 0.007
0.771 0.863 0.993
0.228 0.363 0.506
0.772 0.863 0.494
0.021 0.683 0.810
0.023 0.682 0.312
0.413 0.578 0.812
0.415 0.580 0.315
0.585 0.080 0.685
0.587 0.078 0.188
0.977 0.182 0.688
0.979 0.183 0.190
0.005 0.519 0.879
0.010 0.516 0.381
0.018 0.324 0.602
0.018 0.326 0.102
0.105 0.183 0.853
0.107 0.185 0.355
0.253 0.710 0.829
0.254 0.711 0.330
0.353 0.538 0.649
0.353 0.540 0.152
0.384 0.169 0.626
0.385 0.166 0.127
0.417 0.428 0.907
0.417 0.429 0.408
0.583 0.928 0.093
0.583 0.929 0.592
0.615 0.666 0.873
0.616 0.669 0.374
0.647 0.038 0.351
0.647 0.040 0.848
0.746 0.211 0.670
0.747 0.210 0.171
0.893 0.685 0.645
0.895 0.683 0.147
0.982 0.824 0.398
0.982 0.826 0.898
0.990 0.016 0.619
0.995 0.019 0.121
```

=====

The following is a computed powder diffractogram of Rb2CoAgF6. It was derived from a GGA+U-relaxed structure, using Cu Kα X-rays.

Most intense lines, 2θ from 10° to 80°, low angle first:
2theta	intensity
20.65	3
29.36	100
34.58	4
36.17	5
42.01	38
45.98	4
52.08	37
60.91	22
69.04	18
76.75	7

```
Rb2CoAgF6
1.0
0.000 4.302 4.302
4.302 0.000 4.302
4.302 4.302 0.000
Rb Co Ag F
2 1 1 6
direct
0.250 0.250 0.250
0.750 0.750 0.750
0.000 0.000 0.000
0.500 0.500 0.500
0.220 0.220 0.780
0.220 0.780 0.220
0.220 0.780 0.780
0.780 0.220 0.220
0.780 0.220 0.780
0.780 0.780 0.220
```

=====

The following is a computed powder diffractogram of Li2Si3NiO8. It was derived from a GGA+U-relaxed structure, using Cu Kα X-rays.

Most intense lines, 2θ from 10° to 80°, low angle first:
2theta	intensity
19.37	100
25.09	7
35.78	5
37.59	39
41.01	7
45.74	55
50.11	5
60.64	19
66.68	31
70.16	12

```
Li2Si3NiO8
1.0
7.935 0.000 0.000
0.000 7.935 0.000
0.000 0.000 7.935
Li Si Ni O
8 12 4 32
direct
0.008 0.008 0.008
0.242 0.242 0.242
0.258 0.758 0.742
0.492 0.992 0.508
0.508 0.492 0.992
0.742 0.258 0.758
0.758 0.742 0.258
0.992 0.508 0.492
0.115 0.135 0.625
0.125 0.385 0.865
0.135 0.625 0.115
0.365 0.375 0.615
0.375 0.615 0.365
0.385 0.865 0.125
0.615 0.365 0.375
0.625 0.115 0.135
0.635 0.875 0.885
0.865 0.125 0.385
0.875 0.885 0.635
0.885 0.635 0.875
0.125 0.875 0.375
0.375 0.125 0.875
0.625 0.625 0.625
0.875 0.375 0.125
0.087 0.134 0.399
0.101 0.913 0.634
0.116 0.163 0.851
0.119 0.619 0.881
0.131 0.369 0.631
0.134 0.399 0.087
0.149 0.616 0.337
0.163 0.851 0.116
0.337 0.149 0.616
0.351 0.384 0.837
0.366 0.601 0.587
0.369 0.631 0.131
0.381 0.381 0.381
0.384 0.837 0.351
0.399 0.087 0.134
0.413 0.866 0.899
0.587 0.366 0.601
0.601 0.587 0.366
0.616 0.337 0.149
0.619 0.881 0.119
0.631 0.131 0.369
0.634 0.101 0.913
0.649 0.884 0.663
0.663 0.649 0.884
0.837 0.351 0.384
0.851 0.116 0.163
0.866 0.899 0.413
0.869 0.869 0.869
0.881 0.119 0.619
0.884 0.663 0.649
0.899 0.413 0.866
0.913 0.634 0.101
```

=====

Repeat the first record exactly.
The following is a computed powder diffractogram of SrLaNiO4. It was derived from a GGA+U-relaxed structure, using Cu Kα X-rays.

Most intense lines, 2θ from 10° to 80°, low angle first:
2theta	intensity
24.15	14
31.53	100
32.86	74
42.92	21
43.96	28
47.16	38
57.77	18
57.89	18
68.97	13
78.52	14

```
SrLaNiO4
1.0
2.722 -6.290 0.000
2.722 6.290 0.000
0.000 0.000 5.458
Sr La Ni O
2 2 2 8
direct
0.107 0.893 0.750
0.893 0.107 0.250
0.387 0.613 0.750
0.613 0.387 0.250
0.249 0.751 0.250
0.751 0.249 0.750
0.000 0.500 0.000
0.000 0.500 0.500
0.088 0.912 0.250
0.424 0.576 0.250
0.500 0.000 0.000
0.500 0.000 0.500
0.576 0.424 0.750
0.912 0.088 0.750
```